1.
# YTh4Sc
Theoretical X-ray powder pattern, Cu Ka. Input: DFT lattice parameters and positions (PBE).
Intensities are scaled so that the largest is 100.

Largest 6 diffraction maxima, by angle, 10° ≤ 2θ ≤ 80°:
2θ = 11.80°, I = 20; 2θ = 31.03°, I = 100; 2θ = 35.98°, I = 51; 2θ = 51.78°, I = 30; 2θ = 61.58°, I = 29; 2θ = 61.72°, I = 14

Crystal structure
Cell lengths 7.9009, 7.9009, 7.0425 Å; angles 102.87, 102.87, 25.84 degrees
Element x y z (fractional)
Y 0.0000 0.0000 0.0000
Th 0.3321 0.3321 0.1717
Th 0.3352 0.3352 0.6613
Th 0.6648 0.6648 0.3387
Th 0.6679 0.6679 0.8283
Sc 0.0000 0.0000 0.5000

***

2.
# NbBr5
Theoretical X-ray powder pattern, Cu Ka. Input: DFT lattice parameters and positions (PBE).
Intensities are scaled so that the largest is 100.

Largest 6 diffraction maxima, by angle, 10° ≤ 2θ ≤ 80°:
2θ = 13.64°, I = 46; 2θ = 14.27°, I = 32; 2θ = 27.48°, I = 34; 2θ = 29.12°, I = 100; 2θ = 29.35°, I = 56; 2θ = 44.88°, I = 35

Crystal structure
Cell lengths 7.0594, 7.5900, 10.1713 Å; angles 109.62, 90.73, 116.41 degrees
Element x y z (fractional)
Nb 0.1033 0.2150 0.2177
Nb 0.8967 0.7850 0.7823
Br 0.0731 0.8229 0.5806
Br 0.1087 0.6316 0.8531
Br 0.2271 0.1732 0.9580
Br 0.2903 0.0118 0.2416
Br 0.4296 0.5591 0.3223
Br 0.5704 0.4409 0.6777
Br 0.7097 0.9882 0.7584
Br 0.7729 0.8268 0.0420
Br 0.8913 0.3684 0.1469
Br 0.9269 0.1771 0.4194

***

3.
# Pr2YTm7
Theoretical X-ray powder pattern, Cu Ka. Input: DFT lattice parameters and positions (PBE).
Intensities are scaled so that the largest is 100.

Largest 6 diffraction maxima, by angle, 10° ≤ 2θ ≤ 80°:
2θ = 30.87°, I = 34; 2θ = 30.94°, I = 100; 2θ = 35.80°, I = 45; 2θ = 35.95°, I = 22; 2θ = 51.64°, I = 40; 2θ = 61.26°, I = 19

Crystal structure
Cell lengths 6.1273, 7.0851, 7.9221 Å; angles 77.16, 74.91, 73.47 degrees
Element x y z (fractional)
Pr 0.2023 0.2987 0.1008
Pr 0.7977 0.7013 0.8992
Y 0.0000 0.0000 0.5000
Tm 0.0000 0.5000 0.5000
Tm 0.1991 0.7997 0.1007
Tm 0.3991 0.1016 0.6973
Tm 0.4011 0.6000 0.6975
Tm 0.5989 0.4000 0.3025
Tm 0.6009 0.8984 0.3027
Tm 0.8009 0.2003 0.8993

***

4.
# Pa2NbZn6
Theoretical X-ray powder pattern, Cu Ka. Input: DFT lattice parameters and positions (PBE).
Intensities are scaled so that the largest is 100.

Largest 6 diffraction maxima, by angle, 10° ≤ 2θ ≤ 80°:
2θ = 22.68°, I = 34; 2θ = 37.28°, I = 100; 2θ = 39.82°, I = 67; 2θ = 55.69°, I = 31; 2θ = 70.62°, I = 30; 2θ = 74.92°, I = 20

Crystal structure
Cell lengths 7.8416, 7.8416, 3.0595 Å; angles 90.00, 90.00, 120.00 degrees
Element x y z (fractional)
Pa 0.3333 0.6667 0.0000
Pa 0.6667 0.3333 0.0000
Nb 0.0000 0.0000 0.0000
Zn 0.0000 0.3190 0.5000
Zn 0.0000 0.6810 0.5000
Zn 0.3190 0.0000 0.5000
Zn 0.3190 0.3190 0.5000
Zn 0.6810 0.0000 0.5000
Zn 0.6810 0.6810 0.5000

***

5.
# ScInBr
Theoretical X-ray powder pattern, Cu Ka. Input: DFT lattice parameters and positions (PBE).
Intensities are scaled so that the largest is 100.

Largest 6 diffraction maxima, by angle, 10° ≤ 2θ ≤ 80°:
2θ = 23.02°, I = 27; 2θ = 31.60°, I = 100; 2θ = 37.63°, I = 40; 2θ = 46.18°, I = 28; 2θ = 52.05°, I = 21; 2θ = 62.18°, I = 13

Crystal structure
Cell lengths 3.5141, 3.5141, 7.7259 Å; angles 90.00, 90.00, 120.00 degrees
Element x y z (fractional)
Sc 0.0000 0.0000 0.0000
In 0.3333 0.6667 0.7037
Br 0.6667 0.3333 0.2338

***

6.
# Gd2CdS4
Theoretical X-ray powder pattern, Cu Ka. Input: DFT lattice parameters and positions (PBE).
Intensities are scaled so that the largest is 100.

Largest 6 diffraction maxima, by angle, 10° ≤ 2θ ≤ 80°:
2θ = 19.15°, I = 47; 2θ = 25.46°, I = 97; 2θ = 27.21°, I = 45; 2θ = 37.60°, I = 100; 2θ = 38.85°, I = 44; 2θ = 48.16°, I = 38

Crystal structure
Cell lengths 7.7523, 7.7523, 7.7523 Å; angles 106.55, 106.55, 115.48 degrees
Element x y z (fractional)
Gd 0.1006 0.6250 0.9756
Gd 0.3750 0.3506 0.4756
Gd 0.6494 0.1250 0.0244
Gd 0.8750 0.8994 0.5244
Cd 0.2500 0.7500 0.5000
Cd 0.5000 0.5000 0.0000
S 0.0929 0.3841 0.1907
S 0.0978 0.9071 0.2912
S 0.1341 0.3429 0.6907
S 0.1934 0.9022 0.8093
S 0.5566 0.8659 0.2088
S 0.6159 0.8066 0.7088
S 0.6522 0.4434 0.3093
S 0.6571 0.3478 0.7912

***

7.
# Sr2PaSb3
Theoretical X-ray powder pattern, Cu Ka. Input: DFT lattice parameters and positions (PBE).
Intensities are scaled so that the largest is 100.

Largest 6 diffraction maxima, by angle, 10° ≤ 2θ ≤ 80°:
2θ = 12.13°, I = 20; 2θ = 27.26°, I = 100; 2θ = 38.92°, I = 62; 2θ = 48.12°, I = 13; 2θ = 48.25°, I = 13; 2θ = 63.60°, I = 21

Crystal structure
Cell lengths 15.3185, 14.6036, 8.0191 Å; angles 79.44, 69.59, 30.97 degrees
Element x y z (fractional)
Sr 0.0449 0.0449 0.2051
Sr 0.1217 0.1217 0.6283
Sr 0.2051 0.2051 0.0449
Sr 0.3717 0.3717 0.8783
Sr 0.6283 0.6283 0.1217
Sr 0.7949 0.7949 0.9551
Sr 0.8783 0.8783 0.3717
Sr 0.9551 0.9551 0.7949
Pa 0.2911 0.2911 0.4589
Pa 0.4589 0.4589 0.2911
Pa 0.5411 0.5411 0.7089
Pa 0.7089 0.7089 0.5411
Sb 0.0373 0.5354 0.2411
Sb 0.1540 0.5960 0.5960
Sb 0.2411 0.6862 0.0373
Sb 0.3138 0.7589 0.4646
Sb 0.4040 0.8460 0.8460
Sb 0.4646 0.9627 0.3138
Sb 0.5354 0.0373 0.6862
Sb 0.5960 0.1540 0.1540
Sb 0.6862 0.2411 0.5354
Sb 0.7589 0.3138 0.9627
Sb 0.8460 0.4040 0.4040
Sb 0.9627 0.4646 0.7589

***

8.
# Na3Tb3BiSe8
Theoretical X-ray powder pattern, Cu Ka. Input: DFT lattice parameters and positions (PBE).
Intensities are scaled so that the largest is 100.

Largest 6 diffraction maxima, by angle, 10° ≤ 2θ ≤ 80°:
2θ = 12.51°, I = 62; 2θ = 25.14°, I = 28; 2θ = 30.04°, I = 100; 2θ = 42.34°, I = 38; 2θ = 43.64°, I = 36; 2θ = 53.90°, I = 27

Crystal structure
Cell lengths 8.5458, 8.5458, 8.5458 Å; angles 58.07, 58.07, 58.07 degrees
Element x y z (fractional)
Na 0.0000 0.5000 0.5000
Na 0.5000 0.0000 0.5000
Na 0.5000 0.5000 0.0000
Tb 0.0000 0.0000 0.5000
Tb 0.0000 0.5000 0.0000
Tb 0.5000 0.0000 0.0000
Bi 0.5000 0.5000 0.5000
Se 0.2417 0.7444 0.7444
Se 0.2432 0.2432 0.2432
Se 0.2556 0.2556 0.7583
Se 0.2556 0.7583 0.2556
Se 0.7444 0.2417 0.7444
Se 0.7444 0.7444 0.2417
Se 0.7568 0.7568 0.7568
Se 0.7583 0.2556 0.2556

***

9.
# Dy5Er4Th2
Theoretical X-ray powder pattern, Cu Ka. Input: DFT lattice parameters and positions (PBE).
Intensities are scaled so that the largest is 100.

Largest 6 diffraction maxima, by angle, 10° ≤ 2θ ≤ 80°:
2θ = 29.85°, I = 38; 2θ = 31.41°, I = 100; 2θ = 31.73°, I = 72; 2θ = 31.80°, I = 52; 2θ = 33.55°, I = 78; 2θ = 33.70°, I = 44

Crystal structure
Cell lengths 3.5207, 8.8054, 11.1664 Å; angles 89.07, 89.33, 89.91 degrees
Element x y z (fractional)
Dy 0.0000 0.0000 0.0000
Dy 0.2419 0.1819 0.4785
Dy 0.2654 0.3590 0.9122
Dy 0.7346 0.6410 0.0878
Dy 0.7581 0.8181 0.5215
Er 0.2497 0.7317 0.7962
Er 0.2919 0.9158 0.2619
Er 0.7081 0.0842 0.7381
Er 0.7503 0.2683 0.2038
Th 0.2531 0.5440 0.3618
Th 0.7469 0.4560 0.6382

***

10.
# Pm2RhC
Theoretical X-ray powder pattern, Cu Ka. Input: DFT lattice parameters and positions (PBE).
Intensities are scaled so that the largest is 100.

Largest 6 diffraction maxima, by angle, 10° ≤ 2θ ≤ 80°:
2θ = 28.84°, I = 100; 2θ = 33.10°, I = 33; 2θ = 41.44°, I = 34; 2θ = 47.35°, I = 34; 2θ = 50.66°, I = 33; 2θ = 61.87°, I = 33

Crystal structure
Cell lengths 8.3804, 8.3804, 8.3804 Å; angles 24.83, 24.83, 24.83 degrees
Element x y z (fractional)
Pm 0.1081 0.1081 0.1081
Pm 0.8919 0.8919 0.8919
Rh 0.0000 0.0000 0.0000
C 0.5000 0.5000 0.5000

***

11.
# Al3GaAg3
Theoretical X-ray powder pattern, Cu Ka. Input: DFT lattice parameters and positions (PBE).
Intensities are scaled so that the largest is 100.

Largest 6 diffraction maxima, by angle, 10° ≤ 2θ ≤ 80°:
2θ = 13.80°, I = 34; 2θ = 29.81°, I = 24; 2θ = 35.21°, I = 35; 2θ = 37.07°, I = 27; 2θ = 41.22°, I = 100; 2θ = 67.27°, I = 22

Crystal structure
Cell lengths 7.4093, 7.4093, 5.0984 Å; angles 90.00, 90.00, 120.00 degrees
Element x y z (fractional)
Al 0.0433 0.2354 0.2500
Al 0.1921 0.9567 0.2500
Al 0.2354 0.1921 0.7500
Al 0.7646 0.8079 0.2500
Al 0.8079 0.0433 0.7500
Al 0.9567 0.7646 0.7500
Ga 0.3333 0.6667 0.2500
Ga 0.6667 0.3333 0.7500
Ag 0.0872 0.4640 0.7500
Ag 0.3768 0.9128 0.7500
Ag 0.4640 0.3768 0.2500
Ag 0.5360 0.6232 0.7500
Ag 0.6232 0.0872 0.2500
Ag 0.9128 0.5360 0.2500

***

12.
# TmGe4Os2
Theoretical X-ray powder pattern, Cu Ka. Input: DFT lattice parameters and positions (PBE).
Intensities are scaled so that the largest is 100.

Largest 6 diffraction maxima, by angle, 10° ≤ 2θ ≤ 80°:
2θ = 35.66°, I = 100; 2θ = 36.57°, I = 50; 2θ = 39.42°, I = 32; 2θ = 43.35°, I = 47; 2θ = 47.10°, I = 36; 2θ = 60.02°, I = 19

Crystal structure
Cell lengths 16.9894, 4.1750, 6.7994 Å; angles 90.00, 90.00, 90.00 degrees
Element x y z (fractional)
Tm 0.1442 0.2500 0.0359
Tm 0.3558 0.7500 0.5359
Tm 0.6442 0.2500 0.4641
Tm 0.8558 0.7500 0.9641
Ge 0.0314 0.7500 0.1350
Ge 0.0610 0.2500 0.5156
Ge 0.1895 0.7500 0.3094
Ge 0.1897 0.7500 0.7446
Ge 0.3103 0.2500 0.2446
Ge 0.3105 0.2500 0.8094
Ge 0.4390 0.7500 0.0156
Ge 0.4686 0.2500 0.6350
Ge 0.5314 0.7500 0.3650
Ge 0.5610 0.2500 0.9844
Ge 0.6895 0.7500 0.1906
Ge 0.6897 0.7500 0.7554
Ge 0.8103 0.2500 0.2554
Ge 0.8105 0.2500 0.6906
Ge 0.9390 0.7500 0.4844
Ge 0.9686 0.2500 0.8650
Os 0.0397 0.7500 0.7591
Os 0.2088 0.2500 0.5237
Os 0.2912 0.7500 0.0237
Os 0.4603 0.2500 0.2591
Os 0.5397 0.7500 0.7409
Os 0.7088 0.2500 0.9763
Os 0.7912 0.7500 0.4763
Os 0.9603 0.2500 0.2409

***

13.
# Tm3NiBr3
Theoretical X-ray powder pattern, Cu Ka. Input: DFT lattice parameters and positions (PBE).
Intensities are scaled so that the largest is 100.

Largest 6 diffraction maxima, by angle, 10° ≤ 2θ ≤ 80°:
2θ = 10.44°, I = 69; 2θ = 31.05°, I = 100; 2θ = 31.28°, I = 48; 2θ = 32.25°, I = 28; 2θ = 44.00°, I = 38; 2θ = 46.24°, I = 27

Crystal structure
Cell lengths 8.4843, 3.9263, 11.4489 Å; angles 90.00, 92.33, 90.00 degrees
Element x y z (fractional)
Tm 0.0978 0.2500 0.3267
Tm 0.1408 0.2500 0.8640
Tm 0.2729 0.7500 0.1051
Tm 0.7271 0.2500 0.8949
Tm 0.8592 0.7500 0.1360
Tm 0.9022 0.7500 0.6733
Ni 0.0599 0.2500 0.0917
Ni 0.9401 0.7500 0.9083
Br 0.1391 0.2500 0.6004
Br 0.3467 0.7500 0.3587
Br 0.4219 0.7500 0.8680
Br 0.5781 0.2500 0.1320
Br 0.6533 0.2500 0.6413
Br 0.8609 0.7500 0.3996